The following is a calculated PXRD pattern of Sm3Er4Tl. It was derived from a structure optimized by DFT (PBE), using Cu Kα (λ = 1.5418 Å).
Peak positions follow from Bragg's law for the DFT cell and can differ from measured ones.

Crystal structure
```
Sm3Er4Tl
1.0
11.2211 0.0000 0.0000
0.0000 7.0541 0.0000
0.0000 0.0000 6.1969
Sm Er Tl
6 8 2
Cartesian
0.0000 0.9094 0.0000
2.6603 0.8177 2.1647
2.9503 6.2364 5.2631
5.6106 6.1447 3.0985
8.2708 6.2364 5.2631
8.5609 0.8177 2.1647
0.0000 2.6832 3.3495
0.0000 4.4299 0.1244
2.7007 4.3954 2.2543
2.9099 2.6587 5.3527
5.6106 2.6243 3.2228
5.6106 4.3710 0.2511
8.3113 2.6587 5.3527
8.5204 4.3954 2.2543
0.0000 6.0804 3.2756
5.6106 0.9738 0.1772
```

Main lines, in order of rising 2θ (10° ≤ 2θ ≤ 90°):
2theta, Rel. int.
29.13, 24
31.90, 37
33.03, 51
33.31, 100
43.74, 15
51.25, 19
57.75, 19
61.65, 21
62.17, 18
62.86, 15